No. 1
Li9Mn2Co5O16: computed PXRD pattern (Cu Ka), based on the GGA+U geometry in the Materials Project.

The 10 most intense peaks (2θ = 15–90°), by intensity:
2θ (°)  I/Imax  hkl
18.37  100  1 0 0
42.91  29  1 -1 3
43.58  28  -2 2 2
44.35  26  1 3 -1
35.57  15  0 1 -3
35.94  14  -1 2 2
36.53  12  0 3 -1
47.57  9  2 -3 1
62.88  8  -1 1 5
37.56  8  1 1 -3

Structure:
Unit cell a=5.1163 b=7.6461 c=7.8217 alpha=97.97 beta=101.73 gamma=103.22
Space group P1 (No. 1)
Inequivalent atoms, fractional coordinates:
Li: 0.0000 0.0000 0.0000 [1 per cell]
Li: 0.0003 0.1248 0.3835 [1 per cell]
Li: 0.0028 0.6286 0.8859 [1 per cell]
Li: 0.0045 0.5056 0.5091 [1 per cell]
Li: 0.0048 0.7569 0.2614 [1 per cell]
Li: 0.0105 0.8792 0.6408 [1 per cell]
Li: 0.5054 0.1235 0.8823 [1 per cell]
Li: 0.9981 0.3726 0.1273 [1 per cell]
Li: 0.9993 0.2447 0.7666 [1 per cell]
Mn: 0.4990 0.2490 0.2545 [1 per cell]
Mn: 0.5113 0.5005 0.0083 [1 per cell]
Co: 0.4979 0.6324 0.3856 [1 per cell]
Co: 0.5002 0.0007 0.5163 [1 per cell]
Co: 0.5009 0.8792 0.1263 [1 per cell]
Co: 0.5038 0.7552 0.7627 [1 per cell]
Co: 0.5047 0.3724 0.6404 [1 per cell]
O: 0.2544 0.7523 0.5036 [1 per cell]
O: 0.2668 0.0149 0.2564 [1 per cell]
O: 0.2704 0.1368 0.6258 [1 per cell]
O: 0.2797 0.2640 0.0239 [1 per cell]
O: 0.2800 0.8645 0.8814 [1 per cell]
O: 0.2821 0.3815 0.3786 [1 per cell]
O: 0.2836 0.5078 0.7802 [1 per cell]
O: 0.2853 0.6289 0.1316 [1 per cell]
O: 0.7136 0.6241 0.6356 [1 per cell]
O: 0.7258 0.1222 0.1455 [1 per cell]
O: 0.7255 0.8687 0.3852 [1 per cell]
O: 0.7272 0.4889 0.2440 [1 per cell]
O: 0.7278 0.2537 0.4924 [1 per cell]
O: 0.7322 0.9884 0.7494 [1 per cell]
O: 0.7339 0.3857 0.8856 [1 per cell]
O: 0.7446 0.7407 0.0174 [1 per cell]

=====

No. 2
MnOF: computed PXRD pattern (Cu Ka), based on the GGA+U geometry in the Materials Project.

The 10 most intense peaks (2θ = 15–90°), by intensity:
2θ (°)  I/Imax  hkl
26.89  100  1 1 1
34.88  24  1 1 -3
52.39  17  3 1 -1
34.57  15  2 0 -2
55.42  15  2 2 2
53.05  14  0 2 4
52.92  13  2 2 -2
52.66  12  1 1 5
39.80  11  2 1 -2
66.69  10  2 0 6

Structure:
Unit cell a=5.6694 b=4.6441 c=10.3841 alpha=90.00 beta=96.22 gamma=90.00
Space group P2_1/c (No. 14)
Inequivalent atoms, fractional coordinates:
Mn: 0.1188 0.0318 0.3624 [4 per cell]
Mn: 0.3724 0.0219 0.1136 [4 per cell]
O: 0.1016 0.2017 0.1934 [4 per cell]
O: 0.3594 0.1933 0.9456 [4 per cell]
F: 0.1546 0.6822 0.0318 [4 per cell]
F: 0.3935 0.6928 0.7780 [4 per cell]

=====

No. 3
Rb2NiH8C2O10: computed PXRD pattern (Cu Ka), based on the GGA+U geometry in the Materials Project.

The 10 most intense peaks (2θ = 15–90°), by intensity:
2θ (°)  I/Imax  hkl
28.17  100  0 2 1
18.29  99  1 1 -1
20.59  89  0 1 2
35.12  86  2 1 -4
27.06  80  0 2 0
34.26  80  0 1 4
24.86  73  2 0 -2
28.91  70  1 0 -4
28.36  66  2 1 -2
36.72  52  3 0 -2

Structure:
Unit cell a=7.3426 b=6.5940 c=12.3642 alpha=90.00 beta=112.69 gamma=90.00
Space group P2_1/c (No. 14)
Inequivalent atoms, fractional coordinates:
Rb: 0.2341 0.1765 0.1785 [4 per cell]
Ni: 0.5000 0.0000 0.5000 [2 per cell]
H: 0.0046 0.1750 0.3727 [4 per cell]
H: 0.1522 0.1371 0.9049 [4 per cell]
H: 0.3166 0.7177 0.5165 [4 per cell]
H: 0.3492 0.6574 0.1393 [4 per cell]
C: 0.2816 0.6864 0.3279 [4 per cell]
O: 0.1359 0.2216 0.4273 [4 per cell]
O: 0.1979 0.6255 0.3971 [4 per cell]
O: 0.2373 0.6033 0.2262 [4 per cell]
O: 0.4103 0.6665 0.8579 [4 per cell]
O: 0.4164 0.7049 0.0864 [4 per cell]